Structure and theoretical PXRD pattern of Ce2S3O18 (a PBE-relaxed structure; Cu Kα, 1.54184 Å).
Intensities are scaled so that the largest is 100.

Peak list (10 most intense, 2θ from 15° to 90°, in order of rising 2θ)
- 5.598 Å, 2θ 15.83, intensity 37
- 5.256 Å, 2θ 16.87, intensity 100
- 5.017 Å, 2θ 17.68, intensity 52
- 3.697 Å, 2θ 24.07, intensity 92
- 3.568 Å, 2θ 24.96, intensity 37
- 3.528 Å, 2θ 25.25, intensity 43
- 3.302 Å, 2θ 27.01, intensity 30
- 3.217 Å, 2θ 27.73, intensity 35
- 2.758 Å, 2θ 32.46, intensity 50
- 2.557 Å, 2θ 35.09, intensity 31

Cell and atoms:
```
data_Ce2S3O18
_cell_length_a 15.0217
_cell_length_b 7.0551
_cell_length_c 15.7155
_cell_angle_alpha 90.00
_cell_angle_beta 93.61
_cell_angle_gamma 90.00
_space_group_name_H-M_alt 'C 1 2/c 1'
_space_group_IT_number 15
loop_
_space_group_symop_operation_xyz
'x,y,z'
'-x,-y,-z'
'-x,y,-z+1/2'
'x,-y,z+1/2'
'x+1/2,y+1/2,z'
'-x+1/2,-y+1/2,-z'
'-x+1/2,y+1/2,-z+1/2'
'x+1/2,-y+1/2,z+1/2'
loop_
_atom_site_label
_atom_site_type_symbol
_atom_site_fract_x
_atom_site_fract_y
_atom_site_fract_z
Ce1 Ce 0.0811 0.0236 0.0793
S1 S 0.0000 0.2675 0.7500
S2 S 0.1944 0.4733 0.5805
O1 O 0.0181 0.2024 0.3510
O2 O 0.0452 0.0957 0.9519
O3 O 0.0463 0.3999 0.8117
O4 O 0.0662 0.1446 0.7095
O5 O 0.1415 0.3558 0.0914
O6 O 0.1431 0.3115 0.5474
O7 O 0.2260 0.4946 0.9085
O8 O 0.2305 0.0580 0.3603
O9 O 0.2396 0.0405 0.0137
```


Structure and theoretical PXRD pattern of CeSbO3 (a PBE-relaxed structure; Cu Kα, 1.54184 Å).
Intensities are scaled so that the largest is 100.

Peak list (10 most intense, 2θ from 15° to 90°, in order of rising 2θ)
- 3.884 Å, 2θ 22.90, intensity 1
- 3.171 Å, 2θ 28.14, intensity 100
- 2.746 Å, 2θ 32.60, intensity 33
- 1.942 Å, 2θ 46.78, intensity 50
- 1.656 Å, 2θ 55.48, intensity 44
- 1.586 Å, 2θ 58.18, intensity 9
- 1.373 Å, 2θ 68.31, intensity 7
- 1.260 Å, 2θ 75.44, intensity 18
- 1.228 Å, 2θ 77.76, intensity 13
- 1.121 Å, 2θ 86.88, intensity 15

Cell and atoms:
abc: 10.9856 10.9856 10.9856
angles: 90.00 90.00 90.00
Space group Fd-3m (No. 227, origin choice 2)
One atom of each set of equivalent atoms:
Ce 0.0000 0.0000 0.0000
Sb 0.0000 0.0000 0.5000
O 0.1071 0.3750 0.3750


Structure and theoretical PXRD pattern of Sr2CeSbO6 (a PBE-relaxed structure; Cu Kα, 1.54184 Å).
Intensities are scaled so that the largest is 100.

Peak list (10 most intense, 2θ from 15° to 90°, in order of rising 2θ)
- 4.258 Å, 2θ 20.86, intensity 9
- 3.011 Å, 2θ 29.67, intensity 100
- 2.129 Å, 2θ 42.45, intensity 29
- 1.904 Å, 2θ 47.76, intensity 4
- 1.738 Å, 2θ 52.65, intensity 45
- 1.506 Å, 2θ 61.60, intensity 17
- 1.419 Å, 2θ 65.79, intensity 1
- 1.347 Å, 2θ 69.85, intensity 18
- 1.229 Å, 2θ 77.68, intensity 5
- 1.138 Å, 2θ 85.28, intensity 23

Cell and atoms:
```
data_Sr2CeSbO6
_cell_length_a 8.5168
_cell_length_b 8.5168
_cell_length_c 8.5168
_cell_angle_alpha 90.00
_cell_angle_beta 90.00
_cell_angle_gamma 90.00
_space_group_name_H-M_alt 'P n -3'
_space_group_IT_number 201
loop_
_space_group_symop_operation_xyz
'x,y,z'
'-x,-y,-z'
'-x+1/2,-y+1/2,z'
'x+1/2,y+1/2,-z'
'x,-y+1/2,-z+1/2'
'-x,y+1/2,z+1/2'
'-x+1/2,y,-z+1/2'
'x+1/2,-y,z+1/2'
'z,x,y'
'-z,-x,-y'
'z,-x+1/2,-y+1/2'
'-z,x+1/2,y+1/2'
'-z+1/2,x,-y+1/2'
'z+1/2,-x,y+1/2'
'-z+1/2,-x+1/2,y'
'z+1/2,x+1/2,-y'
'y,z,x'
'-y,-z,-x'
'-y+1/2,z,-x+1/2'
'y+1/2,-z,x+1/2'
'-y+1/2,-z+1/2,x'
'y+1/2,z+1/2,-x'
'y,-z+1/2,-x+1/2'
'-y,z+1/2,x+1/2'
loop_
_atom_site_label
_atom_site_type_symbol
_atom_site_fract_x
_atom_site_fract_y
_atom_site_fract_z
Sr1 Sr 0.2500 0.2500 0.2500
Sr2 Sr 0.2500 0.2500 0.7500
Ce1 Ce 0.0000 0.0000 0.0000
Sb1 Sb 0.0000 0.0000 0.5000
O1 O 0.0349 0.5422 0.7656
```